The following is a theoretical powder XRD pattern of V2CuH14C2N2O4F8. It was derived from a DFT-relaxed cell (GGA+U, the Materials Project), using Cu Kα (weighted mean of Kα1 and Kα2).
Neutral-atom scattering factors, no anomalous dispersion.

```
data_V2CuH14C2N2O4F8
_chemical_formula_sum 'V2 Cu1 H14 C2 N2 O4 F8'
_cell_length_a 6.761
_cell_length_b 7.064
_cell_length_c 7.638
_cell_angle_alpha 80.99
_cell_angle_beta 67.22
_cell_angle_gamma 70.41
_symmetry_space_group_name_H-M 'P -1'
_symmetry_Int_Tables_number 2
loop_
_symmetry_equiv_pos_as_xyz
'x,y,z'
'-x,-y,-z'
loop_
_atom_site_label
_atom_site_fract_x
_atom_site_fract_y
_atom_site_fract_z
V1 0.045 0.157 0.303
Cu1 0.500 0.000 0.500
H1 0.191 0.320 0.671
H2 0.253 0.158 0.828
H3 0.260 0.483 0.303
H4 0.340 0.718 0.039
H5 0.366 0.647 0.343
H6 0.374 0.364 0.978
H7 0.468 0.592 0.707
C1 0.476 0.588 0.059
N1 0.405 0.526 0.263
O1 0.143 0.128 0.072
O2 0.316 0.208 0.693
F1 0.001 0.558 0.674
F2 0.064 0.870 0.385
F3 0.279 0.773 0.636
F4 0.337 0.125 0.332
```

Principal peaks in the range 2θ = 15–90°, low angle first:
| index | 2theta | Rel. int. |
| --- | --- | --- |
| 0 1 1 | 18.06 | 100 |
| 1 -1 1 | 23.62 | 41 |
| 1 1 -1 | 24.29 | 59 |
| 1 2 0 | 26.47 | 35 |
| 2 1 1 | 26.71 | 59 |
| 2 0 1 | 28.08 | 17 |
| 2 0 0 | 30.07 | 21 |
| 0 0 3 | 38.36 | 17 |
| 1 3 0 | 38.83 | 18 |
| 1 1 4 | 48.55 | 17 |